The following is a simulated PXRD pattern of CaCuIr2. It was derived from DFT lattice parameters and positions (GGA-PBE), using Cu Kα.
Peak positions follow from Bragg's law for the DFT cell and can differ from measured ones.

Main lines, in order of rising 2θ (15° ≤ 2θ ≤ 90°):
- d = 5.277 Å, 2θ 16.80, intensity 100
- d = 2.344 Å, 2θ 38.39, intensity 46
- d = 2.331 Å, 2θ 38.63, intensity 51
- d = 2.260 Å, 2θ 39.90, intensity 49
- d = 2.188 Å, 2θ 41.26, intensity 37
- d = 1.994 Å, 2θ 45.50, intensity 30

Structure:
abc: 2.866 4.376 5.447
angles: 90.00 104.33 90.00
Atoms (fractional coordinates):
Ca  0.000  0.000  0.000
Cu  0.596  0.500  0.206
Ir  0.293  0.500  0.626
Ir  0.725  0.000  0.492

=====

The following is a simulated PXRD pattern of CaMgCuIr. It was derived from DFT lattice parameters and positions (GGA-PBE), using Cu Kα.
Peak positions follow from Bragg's law for the DFT cell and can differ from measured ones.

Main lines, in order of rising 2θ (15° ≤ 2θ ≤ 90°):
- d = 3.818 Å, 2θ 23.30, intensity 33
- d = 3.306 Å, 2θ 26.97, intensity 43
- d = 2.338 Å, 2θ 38.51, intensity 100
- d = 1.994 Å, 2θ 45.49, intensity 18
- d = 1.653 Å, 2θ 55.59, intensity 17
- d = 1.350 Å, 2θ 69.66, intensity 34

Structure:
abc: 4.676 4.676 4.676
angles: 60.00 60.00 60.00
Atoms (fractional coordinates):
Ca  0.000  0.000  0.000
Mg  0.500  0.500  0.500
Cu  0.250  0.250  0.250
Ir  0.750  0.750  0.750